No. 1
LaBPd3: simulated powder diffractogram (copper Kα), based on a structure optimized by DFT (PBE).
Peak positions follow from Bragg's law for the DFT cell and can differ from measured ones.

Peak list (8 most intense, 2θ = 15–90°, in order of rising 2θ)
index, 2θ/deg, d [Å], I_rel
1 1 0, 28.58, 3.124, 2
1 1 1, 35.19, 2.550, 100
2 0 0, 40.86, 2.209, 53
2 1 1, 50.62, 1.803, 1
2 2 0, 59.16, 1.562, 35
3 1 1, 70.73, 1.332, 38
2 2 2, 74.39, 1.275, 12
4 0 0, 88.55, 1.104, 6

Atomic structure:
```
LaBPd3
1.0
4.417 0.000 0.000
0.000 4.417 0.000
0.000 0.000 4.417
La B Pd
1 1 3
Cartesian
0.000 0.000 0.000
2.209 2.209 2.209
0.000 2.209 2.209
2.209 0.000 2.209
2.209 2.209 0.000
```

---

No. 2
LaRe4B4: simulated powder diffractogram (copper Kα), based on a structure optimized by DFT (PBE).
Peak positions follow from Bragg's law for the DFT cell and can differ from measured ones.

Peak list (10 most intense, 2θ = 15–90°, in order of rising 2θ)
index, 2θ/deg, d [Å], I_rel
1 0 2, 28.35, 3.148, 50
2 0 1, 34.96, 2.566, 76
1 0 3, 38.76, 2.323, 100
2 1 2, 43.98, 2.059, 38
2 2 0, 47.24, 1.924, 21
2 0 3, 48.70, 1.870, 15
3 0 3, 62.69, 1.482, 25
2 2 4, 68.91, 1.363, 27
2 0 5, 70.07, 1.343, 15
4 2 1, 79.78, 1.202, 16

Atomic structure:
```
LaRe4B4
1.0
5.442 0.000 0.000
0.000 5.442 0.000
0.000 0.000 7.720
La Re B
2 8 8
Cartesian
1.361 4.082 1.930
4.082 1.361 5.790
0.010 4.082 4.732
1.361 2.731 6.848
1.361 5.432 6.848
2.711 4.082 4.732
2.731 1.361 2.988
4.082 0.010 0.872
4.082 2.711 0.872
5.432 1.361 2.988
0.435 1.361 0.803
1.361 0.435 4.663
1.361 2.286 4.663
2.286 1.361 0.803
3.156 4.082 6.917
4.082 3.156 3.057
4.082 5.007 3.057
5.007 4.082 6.917
```

---

No. 3
La2Re3B7: simulated powder diffractogram (copper Kα), based on a structure optimized by DFT (PBE).
Peak positions follow from Bragg's law for the DFT cell and can differ from measured ones.

Peak list (10 most intense, 2θ = 15–90°, in order of rising 2θ)
index, 2θ/deg, d [Å], I_rel
2 1 0, 26.54, 3.359, 41
2 1 1, 27.63, 3.228, 56
1 1 3, 28.82, 3.098, 32
0 2 2, 30.41, 2.940, 36
1 2 2, 32.59, 2.747, 74
1 0 4, 32.76, 2.734, 100
1 2 3, 36.96, 2.432, 30
3 1 1, 38.17, 2.358, 30
3 1 2, 40.51, 2.227, 43
3 1 4, 49.02, 1.858, 51

Atomic structure:
```
La2Re3B7
1.0
7.725 0.000 0.000
0.000 6.802 0.000
0.000 0.000 11.691
La Re B
8 12 28
Cartesian
1.380 1.618 2.087
1.380 5.184 7.933
2.483 1.618 7.933
2.483 5.184 2.087
5.242 1.618 9.604
5.242 5.184 3.758
6.345 1.618 3.758
6.345 5.184 9.604
0.705 2.684 10.755
0.705 4.118 4.910
1.931 0.000 5.054
1.931 0.000 10.900
3.158 2.684 4.910
3.158 4.118 10.755
4.567 2.684 0.936
4.567 4.118 6.781
5.794 0.000 0.791
5.794 0.000 6.637
7.020 2.684 6.781
7.020 4.118 0.936
0.000 2.474 8.768
0.000 4.328 2.923
0.256 0.701 6.330
0.256 6.101 0.484
0.310 0.823 9.550
0.310 5.979 3.705
0.998 2.050 5.400
0.998 4.752 11.246
2.864 2.050 11.246
2.864 4.752 5.400
3.552 0.823 3.705
3.552 5.979 9.550
3.606 0.701 0.484
3.606 6.101 6.330
3.863 2.474 2.923
3.863 4.328 8.768
4.119 0.701 5.361
4.119 6.101 11.207
4.173 0.823 2.141
4.173 5.979 7.986
4.861 2.050 6.291
4.861 4.752 0.445
6.727 2.050 0.445
6.727 4.752 6.291
7.415 0.823 7.986
7.415 5.979 2.141
7.469 0.701 11.207
7.469 6.101 5.361
```